The following is a theoretical powder X-ray diffraction pattern of Nd6HoTm. It was derived from a cell relaxed with PBE, using Cu Kα.
No peak broadening, texture or thermal motion is included.

Structural model:
abc: 7.327 10.220 14.556
angles: 90.00 90.00 90.00
Space group Fmmm (No. 69)
Symmetry-distinct sites (fractional):
Nd1 0.000 0.000 0.250 (multiplicity 8)
Nd2 0.250 0.250 0.123 (multiplicity 16)
Ho1 0.000 0.000 0.000 (multiplicity 4)
Tm1 0.000 0.000 0.500 (multiplicity 4)

Main lines, sorted by position (10 to 90 degrees two-theta):
| (hkl) | 2θ/deg | Rel. int. |
| --- | --- | --- |
| 2 2 0 | 30.0 | 1000 |
| 0 2 4 | 30.2 | 987 |
| 2 0 4 | 34.7 | 678 |
| 0 4 0 | 35.1 | 330 |
| 2 4 4 | 50.2 | 478 |
| 4 2 4 | 59.3 | 291 |
| 2 2 8 | 59.5 | 286 |
| 2 6 0 | 59.9 | 282 |
| 4 6 4 | 81.6 | 175 |
| 4 4 8 | 84.0 | 163 |

=====

The following is a theoretical powder X-ray diffraction pattern of TlCuPO4. It was derived from a cell relaxed with PBE, using Cu Kα.
No peak broadening, texture or thermal motion is included.

Structural model:
abc: 7.058 6.923 18.491
angles: 90.00 94.72 90.00
Space group C2/c (No. 15)
Symmetry-distinct sites (fractional):
Tl1 0.007 0.213 0.064 (multiplicity 8)
Cu1 0.248 0.061 0.750 (multiplicity 8)
P1 0.029 0.311 0.852 (multiplicity 8)
O1 0.090 0.124 0.662 (multiplicity 8)
O2 0.092 0.498 0.663 (multiplicity 8)
O3 0.121 0.316 0.929 (multiplicity 8)
O4 0.190 0.311 0.796 (multiplicity 8)

Main lines, sorted by position (10 to 90 degrees two-theta):
| (hkl) | 2θ/deg | Rel. int. |
| --- | --- | --- |
| 1 1 -3 | 22.5 | 1000 |
| 1 1 3 | 23.8 | 789 |
| 2 0 0 | 25.3 | 350 |
| 2 0 -2 | 26.4 | 563 |
| 0 2 2 | 27.5 | 656 |
| 2 0 2 | 27.9 | 397 |
| 1 1 -5 | 29.4 | 758 |
| 0 2 3 | 29.6 | 371 |
| 1 1 5 | 31.1 | 672 |
| 2 2 0 | 36.4 | 690 |

=====

The following is a theoretical powder X-ray diffraction pattern of Ce14NdPu. It was derived from a cell relaxed with PBE, using Cu Kα.
No peak broadening, texture or thermal motion is included.

Structural model:
abc: 9.433 9.482 9.482
angles: 90.00 90.00 90.00
Space group Amm2 (No. 38)
Symmetry-distinct sites (fractional):
Ce1 0.000 0.000 0.000 (multiplicity 2)
Ce2 0.000 0.000 0.499 (multiplicity 2)
Ce3 0.000 0.250 0.250 (multiplicity 4)
Ce4 0.246 0.000 0.747 (multiplicity 4)
Ce5 0.247 0.000 0.252 (multiplicity 4)
Ce6 0.247 0.247 0.500 (multiplicity 8)
Ce7 0.500 0.250 0.250 (multiplicity 4)
Nd1 0.500 0.000 0.999 (multiplicity 2)
Pu1 0.500 0.000 0.500 (multiplicity 2)

Main lines, sorted by position (10 to 90 degrees two-theta):
| (hkl) | 2θ/deg | Rel. int. |
| --- | --- | --- |
| 2 2 2 | 32.8 | 1000 |
| 0 4 0 | 38.0 | 336 |
| 4 0 0 | 38.2 | 165 |
| 0 4 4 | 54.8 | 116 |
| 4 4 0 | 54.9 | 230 |
| 2 6 2 | 65.3 | 272 |
| 6 2 2 | 65.6 | 134 |
| 4 4 4 | 68.7 | 117 |
| 0 8 0 | 81.1 | 37 |
| 8 0 0 | 81.7 | 18 |